Diffraction record for TeAs2Pt. The powder XRD pattern is theoretical, not measured: it uses a cell relaxed with GGA-PBE and copper Kα.

Crystal structure
```
TeAs2Pt
1.0
5.871 -1.841 0.000
5.871 1.841 0.000
-1.785 0.000 4.225
Te As Pt
1 2 1
Direct
0.000 0.000 0.000
0.170 0.170 0.670
0.830 0.830 0.330
0.500 0.500 0.500
```

Most intense lines, 2θ = 10–80°, low angle first:
Position (°2θ)  intensity
16.39  56.1
21.04  23.5
31.15  11.3
33.13  11.6
34.83  16.3
35.40  100.0
39.29  26.2
46.11  44.1
49.51  13.5
50.64  12.6
64.96  11.9
68.71  14.5

***

Diffraction record for MnCdAu2S. The powder XRD pattern is theoretical, not measured: it uses a cell relaxed with GGA-PBE and copper Kα.

Crystal structure
```
MnCdAu2S
1.0
5.058 0.000 0.000
0.000 5.058 0.000
0.000 0.000 4.208
Mn Cd Au S
1 1 2 1
Direct
0.000 0.000 0.000
0.500 0.500 0.500
0.000 0.500 0.000
0.500 0.000 0.000
0.000 0.000 0.500
```

Most intense lines, 2θ = 10–80°, low angle first:
Position (°2θ)  intensity
21.11  28.0
24.90  14.5
27.57  12.6
32.86  100.0
35.50  61.7
41.67  20.8
42.99  18.0
51.07  21.6
56.93  31.1
62.08  32.4
68.91  17.5
72.36  10.4

***

Diffraction record for Pm6PrSm5. The powder XRD pattern is theoretical, not measured: it uses a cell relaxed with GGA-PBE and copper Kα.

Crystal structure
```
Pm6PrSm5
1.0
3.160 -5.472 0.000
3.160 5.472 0.000
-2.115 0.000 11.912
Pm Pr Sm
6 1 5
Direct
0.083 0.417 0.749
0.249 0.249 0.251
0.417 0.083 0.749
0.583 0.917 0.251
0.751 0.751 0.749
0.917 0.583 0.251
0.500 0.500 0.000
0.000 0.000 0.500
0.167 0.833 0.000
0.333 0.667 0.500
0.667 0.333 0.500
0.833 0.167 0.000
```

Most intense lines, 2θ = 10–80°, low angle first:
Position (°2θ)  intensity
30.00  100.0
34.78  50.7
50.00  36.3
59.42  43.3
62.35  12.5
73.41  5.8

***

Diffraction record for ScGaPd14. The powder XRD pattern is theoretical, not measured: it uses a cell relaxed with GGA-PBE and copper Kα.

Crystal structure
```
ScGaPd14
1.0
5.638 0.000 0.000
0.000 5.638 0.000
0.000 0.000 7.797
Sc Ga Pd
1 1 14
Direct
0.000 0.000 0.000
0.500 0.500 0.000
0.000 0.000 0.500
0.000 0.500 0.000
0.000 0.500 0.500
0.252 0.252 0.246
0.252 0.252 0.754
0.252 0.748 0.246
0.252 0.748 0.754
0.500 0.000 0.000
0.500 0.000 0.500
0.500 0.500 0.500
0.748 0.252 0.246
0.748 0.252 0.754
0.748 0.748 0.246
0.748 0.748 0.754
```

Most intense lines, 2θ = 10–80°, low angle first:
Position (°2θ)  intensity
11.35  1.1
22.30  0.8
25.09  1.2
32.11  0.6
33.81  0.8
39.45  100.0
45.51  33.1
46.59  15.3
66.32  10.4
67.17  20.0
79.99  24.3